(1)
This entry pairs a crystal structure of LaHgP2O8 with its computed powder diffractogram. Radiation: copper Kα. Structure: a DFT-relaxed cell (GGA-PBE, Alexandria).
Intensities are scaled so that the largest is 100.

Principal peaks in the range 10° ≤ 2θ ≤ 90°, by angle:
d (Å)	I (rel.)	h k l
3.975	52	0 1 2
3.375	100	1 0 4
2.459	42	1 1 0
2.321	34	0 1 8
2.091	14	2 0 2
2.046	39	1 1 6
1.987	21	0 2 4
1.546	19	2 1 4
1.476	18	1 1 12
1.391	13	1 2 8

Cell and atoms:
```
data_LaHgP2O8
_cell_length_a 4.9173
_cell_length_b 4.9173
_cell_length_c 22.1399
_cell_angle_alpha 90.00
_cell_angle_beta 90.00
_cell_angle_gamma 120.00
_symmetry_space_group_name_H-M 'R 3 2'
_symmetry_Int_Tables_number 155
_symmetry_space_group_name_Hall 'R 3 2"'
loop_
_atom_site_label
_atom_site_type_symbol
_atom_site_fract_x
_atom_site_fract_y
_atom_site_fract_z
La1 La 0.0000 0.0000 0.0000
Hg1 Hg 0.0000 0.0000 0.5000
P1 P 0.0000 0.0000 0.2557
O1 O 0.0000 0.0000 0.3261
O2 O 0.0173 0.3829 0.4315
```



(2)
This entry pairs a crystal structure of LaHgSO6 with its computed powder diffractogram. Radiation: copper Kα. Structure: a DFT-relaxed cell (GGA-PBE, Alexandria).
Intensities are scaled so that the largest is 100.

Principal peaks in the range 10° ≤ 2θ ≤ 90°, by angle:
d (Å)	I (rel.)	h k l
5.524	20	0 0 1
5.401	100	0 1 0
3.765	41	1 0 -1
3.634	36	1 0 1
3.599	20	1 1 0
3.563	100	1 -1 1
3.042	26	0 1 -2
2.763	51	-1 1 1
2.700	24	0 2 0
2.661	20	1 1 1

Cell and atoms:
```
data_LaHgSO6
_cell_length_a 4.9823
_cell_length_b 5.9754
_cell_length_c 6.1116
_cell_angle_alpha 115.26
_cell_angle_beta 91.33
_cell_angle_gamma 91.21
_symmetry_space_group_name_H-M 'P 1'
_symmetry_Int_Tables_number 1
_symmetry_space_group_name_Hall 'P 1'
loop_
_atom_site_label
_atom_site_type_symbol
_atom_site_fract_x
_atom_site_fract_y
_atom_site_fract_z
La1 La 0.0000 0.0000 0.0000
Hg1 Hg 0.5694 0.0590 0.4688
S1 S 0.0631 0.5758 0.3427
O1 O 0.1754 0.7312 0.5926
O2 O 0.2652 0.4100 0.1825
O3 O 0.4947 0.9552 0.1119
O4 O 0.7058 0.1276 0.7983
O5 O 0.8383 0.4138 0.3534
O6 O 0.9723 0.7470 0.2359
```



(3)
This entry pairs a crystal structure of La2HgSe2O2 with its computed powder diffractogram. Radiation: copper Kα. Structure: a DFT-relaxed cell (GGA-PBE, Alexandria).
Intensities are scaled so that the largest is 100.

Principal peaks in the range 10° ≤ 2θ ≤ 90°, by angle:
d (Å)	I (rel.)	h k l
3.627	16	1 0 0
3.466	100	1 0 1
3.088	24	0 1 2
2.355	12	0 0 5
2.285	39	1 0 4
2.094	37	1 1 0
1.975	16	0 1 5
1.792	15	0 2 1
1.565	20	1 1 5
1.362	12	2 1 1

Cell and atoms:
```
data_La2HgSe2O2
_cell_length_a 4.1880
_cell_length_b 4.1880
_cell_length_c 11.7736
_cell_angle_alpha 90.00
_cell_angle_beta 90.00
_cell_angle_gamma 120.00
_symmetry_space_group_name_H-M 'P -3 m 1'
_symmetry_Int_Tables_number 164
_symmetry_space_group_name_Hall '-P 3 2"'
loop_
_atom_site_label
_atom_site_type_symbol
_atom_site_fract_x
_atom_site_fract_y
_atom_site_fract_z
La1 La 0.3333 0.6667 0.1274
Hg1 Hg 0.0000 0.0000 0.5000
Se1 Se 0.0000 0.0000 0.2923
O1 O 0.3333 0.6667 0.9255
```